(1)
# CaIn8Rh4
Calculated powder X-ray diffraction pattern, a wavelength of 1.5418 Å. Input: a DFT-relaxed cell (PBE, Alexandria).

Atomic structure:
Lattice parameters (Å, degrees): 7.319 7.319 7.319 99.21 99.21 132.83
Atoms (fractional coordinates):
Ca1 0.000 0.000 0.000
In1 0.000 0.333 0.333
In2 0.000 0.667 0.667
In3 0.277 0.500 0.777
In4 0.333 0.000 0.333
In5 0.500 0.277 0.777
In6 0.500 0.723 0.223
In7 0.667 0.000 0.667
In8 0.723 0.500 0.223
Rh1 0.000 0.000 0.500
Rh2 0.000 0.500 0.000
Rh3 0.500 0.000 0.000
Rh4 0.500 0.500 0.500

Largest 10 diffraction maxima, low angle first, 2θ = 10–90°:
2theta  Rel. int.
18.71  217
32.17  262
36.04  448
37.48  550
37.94  554
40.91  1000
42.20  275
42.63  335
67.31  211
68.23  207

---

(2)
# HoSc7Hg4
Calculated powder X-ray diffraction pattern, a wavelength of 1.5418 Å. Input: a DFT-relaxed cell (PBE, Alexandria).

Atomic structure:
Lattice parameters (Å, degrees): 7.437 7.437 9.183 119.71 119.71 41.85
Atoms (fractional coordinates):
Ho1 0.000 0.000 0.000
Sc1 0.068 0.068 0.413
Sc2 0.211 0.211 0.884
Sc3 0.264 0.264 0.313
Sc4 0.500 0.500 0.000
Sc5 0.736 0.736 0.687
Sc6 0.789 0.789 0.116
Sc7 0.932 0.932 0.587
Hg1 0.313 0.313 0.663
Hg2 0.448 0.448 0.273
Hg3 0.552 0.552 0.727
Hg4 0.687 0.687 0.337

Largest 10 diffraction maxima, low angle first, 2θ = 10–90°:
2theta  Rel. int.
18.32  397
26.06  1000
31.63  314
33.74  822
34.57  284
34.93  285
37.55  764
40.34  286
53.58  321
58.14  311

---

(3)
# La4FeAu
Calculated powder X-ray diffraction pattern, a wavelength of 1.5418 Å. Input: a DFT-relaxed cell (PBE, Alexandria).

Atomic structure:
Lattice parameters (Å, degrees): 7.729 7.729 6.395 97.88 97.88 110.78
Atoms (fractional coordinates):
La1 0.056 0.736 0.970
La2 0.217 0.385 0.582
La3 0.264 0.944 0.530
La4 0.385 0.217 0.082
La5 0.615 0.783 0.918
La6 0.736 0.056 0.470
La7 0.783 0.615 0.418
La8 0.944 0.264 0.030
Fe1 0.002 0.998 0.250
Fe2 0.998 0.002 0.750
Au1 0.373 0.627 0.250
Au2 0.627 0.373 0.750

Largest 10 diffraction maxima, low angle first, 2θ = 10–90°:
2theta  Rel. int.
28.05  317
28.85  276
29.01  397
31.51  1000
32.12  549
35.33  369
36.87  165
37.98  242
38.74  200
47.90  149